No. 1
This entry pairs a crystal structure of Ba3La2Br12 with its theoretical XRD peak list. Radiation: λ = 1.5418 Å (Cu Kα). Structure: the PBE geometry in the Materials Project.
No peak broadening, texture or thermal motion is included.

Cell and atoms:
Cell: 12.421 12.421 7.559 Å, 90.00 90.00 90.00°
Atoms (fractional coordinates):
Ba (0.000, 0.000, 0.000)
Ba (0.183, 0.317, 0.500)
Ba (0.317, 0.817, 0.500)
Ba (0.500, 0.500, 0.000)
Ba (0.683, 0.183, 0.500)
Ba (0.817, 0.683, 0.500)
La (0.136, 0.636, 0.000)
La (0.364, 0.136, 0.000)
La (0.636, 0.864, 0.000)
La (0.864, 0.364, 0.000)
Br (0.000, 0.500, 0.257)
Br (0.000, 0.500, 0.743)
Br (0.056, 0.791, 0.270)
Br (0.056, 0.791, 0.730)
Br (0.192, 0.308, 0.000)
Br (0.209, 0.056, 0.270)
Br (0.209, 0.056, 0.730)
Br (0.291, 0.556, 0.270)
Br (0.291, 0.556, 0.730)
Br (0.308, 0.808, 0.000)
Br (0.444, 0.291, 0.270)
Br (0.444, 0.291, 0.730)
Br (0.500, 0.000, 0.257)
Br (0.500, 0.000, 0.743)
Br (0.556, 0.709, 0.270)
Br (0.556, 0.709, 0.730)
Br (0.692, 0.192, 0.000)
Br (0.709, 0.444, 0.270)
Br (0.709, 0.444, 0.730)
Br (0.791, 0.944, 0.270)
Br (0.791, 0.944, 0.730)
Br (0.808, 0.692, 0.000)
Br (0.944, 0.209, 0.270)
Br (0.944, 0.209, 0.730)

Principal peaks in the range 2θ = 15–90°, in order of rising 2θ:
2θ/deg, d (Å), I (rel.)
19.8, 4.476, 40
25.6, 3.486, 22
28.5, 3.129, 20
29.7, 3.013, 62
30.5, 2.928, 34
31.2, 2.865, 36
32.9, 2.724, 100
35.3, 2.546, 41
48.2, 1.890, 17
50.8, 1.797, 18


No. 2
This entry pairs a crystal structure of TiSb4Mo with its theoretical XRD peak list. Radiation: λ = 1.5418 Å (Cu Kα). Structure: the PBE geometry in the Materials Project.
No peak broadening, texture or thermal motion is included.

Cell and atoms:
Cell: 10.262 3.638 8.294 Å, 90.00 120.07 90.00°
Atoms (fractional coordinates):
Ti (0.000, 0.000, 0.000)
Ti (0.500, 0.500, 0.000)
Sb (0.002, 0.000, 0.352)
Sb (0.200, 0.500, 0.275)
Sb (0.252, 0.000, 0.917)
Sb (0.443, 0.000, 0.698)
Sb (0.502, 0.500, 0.352)
Sb (0.700, 0.000, 0.275)
Sb (0.752, 0.500, 0.917)
Sb (0.943, 0.500, 0.698)
Mo (0.197, 0.500, 0.620)
Mo (0.697, 0.000, 0.620)

Principal peaks in the range 2θ = 15–90°, in order of rising 2θ:
2θ/deg, d (Å), I (rel.)
31.4, 2.847, 100
32.4, 2.762, 34
32.8, 2.727, 58
35.3, 2.542, 37
36.1, 2.485, 61
37.6, 2.393, 33
39.2, 2.298, 49
40.6, 2.220, 34
42.7, 2.118, 44
50.1, 1.819, 31


No. 3
This entry pairs a crystal structure of MgPbO3 with its theoretical XRD peak list. Radiation: λ = 1.5418 Å (Cu Kα). Structure: the PBE geometry in the Materials Project.
No peak broadening, texture or thermal motion is included.

Cell and atoms:
Cell: 3.981 3.981 3.981 Å, 90.00 90.00 90.00°
Atoms (fractional coordinates):
Mg (0.000, 0.000, 0.000)
Pb (0.500, 0.500, 0.500)
O (0.000, 0.000, 0.500)
O (0.000, 0.500, 0.000)
O (0.500, 0.000, 0.000)

Principal peaks in the range 2θ = 15–90°, in order of rising 2θ:
2θ/deg, d (Å), I (rel.)
22.3, 3.981, 66
31.8, 2.815, 100
39.2, 2.298, 44
45.6, 1.990, 31
51.3, 1.780, 32
56.6, 1.625, 41
66.4, 1.407, 20
71.0, 1.327, 16
75.5, 1.259, 18
79.9, 1.200, 16


No. 4
This entry pairs a crystal structure of MgTlO3 with its theoretical XRD peak list. Radiation: λ = 1.5418 Å (Cu Kα). Structure: the PBE geometry in the Materials Project.
No peak broadening, texture or thermal motion is included.

Cell and atoms:
Cell: 3.969 3.969 3.969 Å, 90.00 90.00 90.00°
Atoms (fractional coordinates):
Mg (0.000, 0.000, 0.000)
Tl (0.500, 0.500, 0.500)
O (0.000, 0.000, 0.500)
O (0.000, 0.500, 0.000)
O (0.500, 0.000, 0.000)

Principal peaks in the range 2θ = 15–90°, in order of rising 2θ:
2θ/deg, d (Å), I (rel.)
22.4, 3.969, 66
31.9, 2.806, 100
39.3, 2.291, 43
45.7, 1.984, 32
51.5, 1.775, 32
56.8, 1.620, 41
66.7, 1.403, 19
71.3, 1.323, 16
75.8, 1.255, 18
80.2, 1.197, 15


No. 5
This entry pairs a crystal structure of Nd3Al3Si3N2O12 with its theoretical XRD peak list. Radiation: λ = 1.5418 Å (Cu Kα). Structure: the PBE geometry in the Materials Project.
No peak broadening, texture or thermal motion is included.

Cell and atoms:
Cell: 7.986 7.986 4.923 Å, 90.68 90.68 61.15°
Atoms (fractional coordinates):
Nd (0.000, 0.000, 0.000)
Nd (0.429, 0.167, 0.994)
Nd (0.833, 0.571, 0.006)
Al (0.179, 0.594, 0.520)
Al (0.406, 0.821, 0.480)
Al (0.410, 0.590, 0.000)
Si (0.083, 0.254, 0.458)
Si (0.678, 0.322, 0.500)
Si (0.746, 0.917, 0.542)
N (0.717, 0.123, 0.685)
N (0.877, 0.283, 0.315)
O (0.093, 0.244, 0.791)
O (0.116, 0.428, 0.334)
O (0.203, 0.725, 0.249)
O (0.262, 0.057, 0.323)
O (0.275, 0.797, 0.751)
O (0.311, 0.457, 0.802)
O (0.507, 0.371, 0.265)
O (0.543, 0.689, 0.198)
O (0.572, 0.884, 0.666)
O (0.629, 0.493, 0.735)
O (0.756, 0.907, 0.209)
O (0.943, 0.738, 0.677)

Principal peaks in the range 2θ = 15–90°, in order of rising 2θ:
2θ/deg, d (Å), I (rel.)
18.0, 4.923, 72
22.3, 3.991, 61
25.5, 3.497, 32
28.5, 3.133, 78
28.6, 3.119, 100
29.0, 3.082, 88
31.3, 2.860, 67
31.5, 2.841, 80
50.6, 1.803, 37
51.0, 1.790, 35


No. 6
This entry pairs a crystal structure of Mg3U with its theoretical XRD peak list. Radiation: λ = 1.5418 Å (Cu Kα). Structure: the PBE geometry in the Materials Project.
No peak broadening, texture or thermal motion is included.

Cell and atoms:
Cell: 7.316 7.316 7.316 Å, 90.00 90.00 90.00°
Atoms (fractional coordinates):
Mg (0.000, 0.000, 0.000)
Mg (0.000, 0.500, 0.500)
Mg (0.250, 0.250, 0.250)
Mg (0.250, 0.250, 0.750)
Mg (0.250, 0.750, 0.250)
Mg (0.250, 0.750, 0.750)
Mg (0.500, 0.000, 0.500)
Mg (0.500, 0.500, 0.000)
Mg (0.750, 0.250, 0.250)
Mg (0.750, 0.250, 0.750)
Mg (0.750, 0.750, 0.250)
Mg (0.750, 0.750, 0.750)
U (0.000, 0.000, 0.500)
U (0.000, 0.500, 0.000)
U (0.500, 0.000, 0.000)
U (0.500, 0.500, 0.500)

Principal peaks in the range 2θ = 15–90°, in order of rising 2θ:
2θ/deg, d (Å), I (rel.)
21.0, 4.224, 98
24.3, 3.658, 52
34.7, 2.587, 100
40.9, 2.206, 56
49.9, 1.829, 18
54.7, 1.678, 25
56.2, 1.636, 23
62.2, 1.493, 38
66.4, 1.408, 19
77.1, 1.237, 20


No. 7
This entry pairs a crystal structure of InBiS3 with its theoretical XRD peak list. Radiation: λ = 1.5418 Å (Cu Kα). Structure: the PBE geometry in the Materials Project.
No peak broadening, texture or thermal motion is included.

Cell and atoms:
Cell: 6.670 3.936 9.944 Å, 90.00 91.33 90.00°
Atoms (fractional coordinates):
In (0.246, 0.250, 0.497)
In (0.754, 0.750, 0.503)
Bi (0.396, 0.750, 0.151)
Bi (0.604, 0.250, 0.849)
S (0.082, 0.750, 0.357)
S (0.251, 0.250, 0.989)
S (0.428, 0.750, 0.649)
S (0.572, 0.250, 0.351)
S (0.749, 0.750, 0.011)
S (0.918, 0.250, 0.643)

Principal peaks in the range 2θ = 15–90°, in order of rising 2θ:
2θ/deg, d (Å), I (rel.)
16.2, 5.479, 62
24.3, 3.659, 33
26.9, 3.314, 22
27.7, 3.220, 42
28.9, 3.086, 32
32.0, 2.799, 53
32.1, 2.785, 100
45.0, 2.015, 44
46.1, 1.969, 34
46.9, 1.935, 33


No. 8
This entry pairs a crystal structure of SmNi2B2 with its theoretical XRD peak list. Radiation: λ = 1.5418 Å (Cu Kα). Structure: the PBE geometry in the Materials Project.
No peak broadening, texture or thermal motion is included.

Cell and atoms:
Cell: 5.009 5.009 6.855 Å, 120.59 120.59 64.91°
Atoms (fractional coordinates):
Sm (0.120, 0.880, 0.750)
Sm (0.880, 0.120, 0.250)
Ni (0.280, 0.468, 0.300)
Ni (0.468, 0.280, 0.800)
Ni (0.532, 0.720, 0.200)
Ni (0.720, 0.532, 0.700)
B (0.154, 0.504, 0.977)
B (0.496, 0.846, 0.523)
B (0.504, 0.154, 0.477)
B (0.846, 0.496, 0.023)

Principal peaks in the range 2θ = 15–90°, in order of rising 2θ:
2θ/deg, d (Å), I (rel.)
26.4, 3.371, 34
31.6, 2.829, 22
32.8, 2.734, 59
36.8, 2.441, 42
37.1, 2.425, 65
37.3, 2.413, 100
43.6, 2.074, 35
44.3, 2.045, 28
56.3, 1.633, 19
76.3, 1.248, 20


No. 9
This entry pairs a crystal structure of SrNi3Ge2 with its theoretical XRD peak list. Radiation: λ = 1.5418 Å (Cu Kα). Structure: the PBE geometry in the Materials Project.
No peak broadening, texture or thermal motion is included.

Cell and atoms:
Cell: 4.059 4.059 14.216 Å, 90.00 90.00 120.00°
Atoms (fractional coordinates):
Sr (0.000, 0.000, 0.250)
Sr (0.000, 0.000, 0.750)
Ni (0.000, 0.000, 0.000)
Ni (0.000, 0.000, 0.500)
Ni (0.333, 0.667, 0.072)
Ni (0.333, 0.667, 0.428)
Ni (0.667, 0.333, 0.572)
Ni (0.667, 0.333, 0.928)
Ge (0.333, 0.667, 0.597)
Ge (0.333, 0.667, 0.903)
Ge (0.667, 0.333, 0.097)
Ge (0.667, 0.333, 0.403)

Principal peaks in the range 2θ = 15–90°, in order of rising 2θ:
2θ/deg, d (Å), I (rel.)
28.3, 3.151, 30
35.9, 2.499, 100
38.0, 2.369, 21
44.6, 2.030, 99
46.5, 1.952, 11
58.2, 1.586, 19
58.6, 1.576, 23
60.0, 1.541, 32
76.5, 1.245, 21
82.3, 1.172, 16